# 1
Mn5Be2GaTc2: computed powder diffraction line list (Cu Kα X-rays), based on a cell relaxed with GGA-PBE.
Peak positions follow from Bragg's law for the DFT cell and can differ from measured ones.

Top 10 peaks for 2θ from 5° to 70°, sorted by position:
hkl, d [Å], intensity
2 1 0, 3.757, 18
2 1 1, 2.489, 86
2 2 1, 2.214, 37
3 1 1, 2.075, 100
4 1 0, 2.038, 59
3 3 0, 1.980, 14
3 2 1, 1.908, 20
4 2 0, 1.879, 23
0 0 2, 1.661, 24
5 3 0, 1.441, 9

Structural model:
abc: 8.4014 8.4014 3.3222
angles: 90.00 90.00 90.00
Space group P4/mbm (No. 127)
Inequivalent atoms, fractional coordinates:
1 Mn 0.0000 0.5000 0.0000 (multiplicity 2)
2 Mn 0.0673 0.2141 0.0000 (multiplicity 8)
3 Be 0.1191 0.3809 0.5000 (multiplicity 4)
4 Ga 0.0000 0.0000 0.5000 (multiplicity 2)
5 Tc 0.1744 0.6744 0.5000 (multiplicity 4)

***

# 2
Ac2U2S7: computed powder diffraction line list (Cu Kα X-rays), based on a cell relaxed with GGA-PBE.
Peak positions follow from Bragg's law for the DFT cell and can differ from measured ones.

Top 10 peaks for 2θ from 5° to 70°, sorted by position:
hkl, d [Å], intensity
2 2 2, 3.890, 100
4 0 0, 3.369, 30
3 3 1, 3.091, 1
4 4 0, 2.382, 62
6 2 2, 2.031, 54
4 4 4, 1.945, 11
8 0 0, 1.684, 10
6 6 2, 1.546, 23
8 4 0, 1.507, 16
8 4 4, 1.375, 20

Structural model:
abc: 13.4753 13.4753 13.4753
angles: 90.00 90.00 90.00
Space group Fd-3m (No. 227, origin choice 2)
Inequivalent atoms, fractional coordinates:
1 Ac 0.0000 0.0000 0.0000 (multiplicity 16)
2 U 0.0000 0.0000 0.5000 (multiplicity 16)
3 S 0.0927 0.3750 0.8750 (multiplicity 48)
4 S 0.1250 0.1250 0.1250 (multiplicity 8)

***

# 3
SiPAuI: computed powder diffraction line list (Cu Kα X-rays), based on a cell relaxed with GGA-PBE.
Peak positions follow from Bragg's law for the DFT cell and can differ from measured ones.

Top 10 peaks for 2θ from 5° to 70°, sorted by position:
hkl, d [Å], intensity
0 0 1, 7.151, 69
1 0 -1, 3.740, 92
0 1 1, 3.590, 100
0 0 2, 3.576, 75
1 0 1, 3.427, 40
1 1 0, 2.926, 90
1 1 -2, 2.348, 35
1 1 2, 2.189, 36
0 1 3, 2.067, 25
2 1 -1, 1.829, 28

Structural model:
abc: 4.1460 4.1509 7.1875
angles: 90.00 95.77 90.00
Space group Pm (No. 6)
Inequivalent atoms, fractional coordinates:
1 Si 0.0000 0.0000 0.0000 (multiplicity 1)
2 P 0.5810 0.0000 0.1802 (multiplicity 1)
3 Au 0.2947 0.5000 0.0948 (multiplicity 1)
4 I 0.8778 0.0000 0.6565 (multiplicity 1)

***

# 4
Ho5Ir2Se2: computed powder diffraction line list (Cu Kα X-rays), based on a cell relaxed with GGA-PBE.
Peak positions follow from Bragg's law for the DFT cell and can differ from measured ones.

Top 10 peaks for 2θ from 5° to 70°, sorted by position:
hkl, d [Å], intensity
2 0 0, 7.448, 74
2 2 1, 3.097, 18
3 1 2, 2.806, 74
0 2 2, 2.690, 16
4 2 0, 2.661, 31
4 2 1, 2.513, 79
1 3 1, 2.376, 100
5 1 2, 2.241, 41
8 0 0, 1.862, 17
9 3 1, 1.364, 23

Structural model:
abc: 14.8965 7.6165 7.6025
angles: 90.00 90.00 90.00
Space group Cmce (No. 64)
Inequivalent atoms, fractional coordinates:
1 Ho 0.0000 0.0000 0.0000 (multiplicity 4)
2 Ho 0.1241 0.1610 0.3432 (multiplicity 16)
3 Ir 0.0000 0.1393 0.6381 (multiplicity 8)
4 Se 0.2079 0.0000 0.0000 (multiplicity 8)

***

# 5
Mg3CdAg3: computed powder diffraction line list (Cu Kα X-rays), based on a cell relaxed with GGA-PBE.
Peak positions follow from Bragg's law for the DFT cell and can differ from measured ones.

Top 10 peaks for 2θ from 5° to 70°, sorted by position:
hkl, d [Å], intensity
1 0 0, 6.931, 24
1 0 1, 3.986, 22
2 0 0, 3.466, 12
1 1 1, 3.092, 12
2 1 0, 2.620, 28
0 0 2, 2.435, 26
2 1 1, 2.307, 100
2 1 2, 1.783, 17
1 4 0, 1.512, 18
2 1 3, 1.380, 18

Structural model:
abc: 8.0038 8.0038 4.8693
angles: 90.00 90.00 120.00
Space group P6_3/m (No. 176)
Inequivalent atoms, fractional coordinates:
1 Mg 0.0920 0.4514 0.2500 (multiplicity 6)
2 Cd 0.3333 0.6667 0.7500 (multiplicity 2)
3 Ag 0.0471 0.2369 0.7500 (multiplicity 6)

***

# 6
Al3Cd2Ag8: computed powder diffraction line list (Cu Kα X-rays), based on a cell relaxed with GGA-PBE.
Peak positions follow from Bragg's law for the DFT cell and can differ from measured ones.

Top 10 peaks for 2θ from 5° to 70°, sorted by position:
hkl, d [Å], intensity
1 0 0, 8.271, 40
1 1 0, 2.805, 47
1 1 -2, 2.545, 70
2 1 -1, 2.520, 41
1 0 -4, 2.370, 100
3 0 1, 2.321, 92
4 0 -3, 2.270, 67
1 1 2, 2.190, 53
2 1 1, 2.173, 50
3 1 -2, 2.145, 53

Structural model:
abc: 9.4226 2.9817 9.7727
angles: 90.00 118.62 90.00
Space group P2/m (No. 10)
Inequivalent atoms, fractional coordinates:
1 Al 0.0000 0.0000 0.0000 (multiplicity 1)
2 Al 0.0657 0.5000 0.7690 (multiplicity 2)
3 Cd 0.4688 0.0000 0.6375 (multiplicity 2)
4 Ag 0.1691 0.5000 0.5526 (multiplicity 2)
5 Ag 0.2060 0.0000 0.3092 (multiplicity 2)
6 Ag 0.2887 0.5000 0.0863 (multiplicity 2)
7 Ag 0.3481 0.0000 0.8583 (multiplicity 2)

***

Which formula does entry 1 have?
Mn5Be2GaTc2